Record 1
This entry pairs a crystal structure of K8NbAs5Pb with its computed powder diffraction line list. Radiation: Cu Kα (weighted mean of Kα1 and Kα2). Structure: the GGA-PBE geometry in the Materials Project.
Neutral-atom scattering factors, no anomalous dispersion.

Main lines, by intensity (2θ from 10° to 90°):
d (Å), 2θ/deg, I/Imax
6.443, 13.74, 100
7.465, 11.86, 38
3.026, 29.52, 27
7.994, 11.07, 25
2.707, 33.09, 25
3.067, 29.12, 25
2.992, 29.86, 19
2.779, 32.21, 19

```
data_K8NbAs5Pb
_cell_length_a 16.7368
_cell_length_b 16.7368
_cell_length_c 13.6202
_cell_angle_alpha 94.86
_cell_angle_beta 94.86
_cell_angle_gamma 32.90
_space_group_name_H-M_alt 'P 1'
_space_group_IT_number 1
_space_group_name_Hall 'P 1'
loop_
_atom_site_label
_atom_site_fract_x
_atom_site_fract_y
_atom_site_fract_z
K1 0.0219 0.6791 0.5415
K2 0.0990 0.8617 0.6072
K3 0.1072 0.7657 0.2896
K4 0.1209 0.4313 0.1689
K5 0.1381 0.2149 0.7175
K6 0.1383 0.9010 0.8928
K7 0.2149 0.1381 0.2175
K8 0.2236 0.3085 0.4453
K9 0.2343 0.8928 0.2104
K10 0.3085 0.2236 0.9453
K11 0.3209 0.9781 0.9585
K12 0.3442 0.4266 0.1013
K13 0.4266 0.3442 0.6013
K14 0.4313 0.1209 0.6689
K15 0.4336 0.4860 0.8814
K16 0.4860 0.4336 0.3814
K17 0.5140 0.5664 0.6186
K18 0.5664 0.5140 0.1186
K19 0.5687 0.8791 0.3311
K20 0.5734 0.6558 0.3987
K21 0.6558 0.5734 0.8987
K22 0.6791 0.0219 0.0415
K23 0.6915 0.7764 0.0547
K24 0.7657 0.1072 0.7896
K25 0.7764 0.6915 0.5547
K26 0.7851 0.8619 0.7825
K27 0.8617 0.0990 0.1072
K28 0.8619 0.7851 0.2825
K29 0.8791 0.5687 0.8311
K30 0.8928 0.2343 0.7104
K31 0.9010 0.1383 0.3928
K32 0.9781 0.3209 0.4585
Nb1 0.1825 0.5037 0.8178
Nb2 0.4963 0.8175 0.6822
Nb3 0.5037 0.1825 0.3178
Nb4 0.8175 0.4963 0.1822
As1 0.0295 0.6178 0.9720
As2 0.0985 0.4713 0.6857
As3 0.1144 0.6987 0.7623
As4 0.2292 0.7139 0.0782
As5 0.2630 0.4539 0.3504
As6 0.2861 0.7708 0.4218
As7 0.3013 0.8856 0.7377
As8 0.3822 0.9705 0.5280
As9 0.4539 0.2630 0.8504
As10 0.4713 0.0985 0.1857
As11 0.5287 0.9015 0.8143
As12 0.5461 0.7370 0.1496
As13 0.6178 0.0295 0.4720
As14 0.6987 0.1144 0.2623
As15 0.7139 0.2292 0.5782
As16 0.7370 0.5461 0.6496
As17 0.7708 0.2861 0.9218
As18 0.8856 0.3013 0.2377
As19 0.9015 0.5287 0.3143
As20 0.9705 0.3822 0.0280
Pb1 0.0247 0.7945 0.9643
Pb2 0.2055 0.9753 0.5357
Pb3 0.7945 0.0247 0.4643
Pb4 0.9753 0.2055 0.0357
```

Record 2
This entry pairs a crystal structure of K3Nb2AsSe11 with its computed powder diffraction line list. Radiation: Cu Kα (weighted mean of Kα1 and Kα2). Structure: the GGA-PBE geometry in the Materials Project.
Neutral-atom scattering factors, no anomalous dispersion.

Main lines, by intensity (2θ from 10° to 90°):
d (Å), 2θ/deg, I/Imax
6.693, 13.23, 100
2.976, 30.02, 50
7.501, 11.80, 18
2.989, 29.90, 18
3.272, 27.25, 17
2.358, 38.17, 17
2.700, 33.18, 14
2.490, 36.08, 14

```
data_K3Nb2AsSe11
_cell_length_a 10.1448
_cell_length_b 10.1448
_cell_length_c 10.0972
_cell_angle_alpha 97.15
_cell_angle_beta 97.15
_cell_angle_gamma 82.47
_space_group_name_H-M_alt 'P 1'
_space_group_IT_number 1
_space_group_name_Hall 'P 1'
loop_
_atom_site_label
_atom_site_fract_x
_atom_site_fract_y
_atom_site_fract_z
K1 0.0689 0.9311 0.5000
K2 0.1678 0.3240 0.6663
K3 0.3240 0.1678 0.1663
K4 0.5407 0.6992 0.2510
K5 0.6992 0.5407 0.7510
K6 0.9311 0.0689 0.0000
Nb1 0.0951 0.6785 0.0855
Nb2 0.4259 0.9773 0.7697
Nb3 0.6785 0.0951 0.5855
Nb4 0.9773 0.4259 0.2697
As1 0.3139 0.6193 0.8186
As2 0.6193 0.3139 0.3186
Se1 0.0084 0.4098 0.0123
Se2 0.0534 0.2067 0.3296
Se3 0.0830 0.7101 0.8269
Se4 0.0840 0.5790 0.4771
Se5 0.2067 0.0534 0.8296
Se6 0.2108 0.8655 0.1693
Se7 0.2120 0.5275 0.2888
Se8 0.3012 0.4940 0.0111
Se9 0.3999 0.7873 0.5725
Se10 0.4098 0.0084 0.5123
Se11 0.4671 0.7757 0.9240
Se12 0.4940 0.3012 0.5111
Se13 0.5275 0.2120 0.7888
Se14 0.5790 0.0840 0.9771
Se15 0.7094 0.9086 0.7484
Se16 0.7101 0.0830 0.3269
Se17 0.7616 0.8429 0.5238
Se18 0.7757 0.4671 0.4240
Se19 0.7873 0.3999 0.0725
Se20 0.8429 0.7616 0.0238
Se21 0.8655 0.2108 0.6693
Se22 0.9086 0.7094 0.2484
```

Record 3
This entry pairs a crystal structure of K6NbTlAs4 with its computed powder diffraction line list. Radiation: Cu Kα (weighted mean of Kα1 and Kα2). Structure: the GGA-PBE geometry in the Materials Project.
Neutral-atom scattering factors, no anomalous dispersion.

Main lines, by intensity (2θ from 10° to 90°):
d (Å), 2θ/deg, I/Imax
7.064, 12.53, 100
2.996, 29.82, 71
3.257, 27.38, 57
2.640, 33.96, 39
2.867, 31.20, 37
2.528, 35.51, 36
5.279, 16.80, 35
2.717, 32.97, 35

```
data_K6NbTlAs4
_cell_length_a 19.0103
_cell_length_b 10.5583
_cell_length_c 7.8786
_cell_angle_alpha 90.00
_cell_angle_beta 90.00
_cell_angle_gamma 90.00
_space_group_name_H-M_alt 'P 1'
_space_group_IT_number 1
_space_group_name_Hall 'P 1'
loop_
_atom_site_label
_atom_site_fract_x
_atom_site_fract_y
_atom_site_fract_z
K1 0.0028 0.2500 0.0558
K2 0.0787 0.0189 0.7195
K3 0.0787 0.4811 0.7195
K4 0.1524 0.2500 0.3211
K5 0.2432 0.5459 0.4937
K6 0.2432 0.9541 0.4937
K7 0.2568 0.0459 0.9937
K8 0.2568 0.4541 0.9937
K9 0.3476 0.7500 0.8211
K10 0.4213 0.5189 0.2195
K11 0.4213 0.9811 0.2195
K12 0.4972 0.7500 0.5558
K13 0.5028 0.2500 0.4442
K14 0.5787 0.0189 0.7805
K15 0.5787 0.4811 0.7805
K16 0.6524 0.2500 0.1789
K17 0.7432 0.5459 0.0063
K18 0.7432 0.9541 0.0063
K19 0.7568 0.0459 0.5063
K20 0.7568 0.4541 0.5063
K21 0.8476 0.7500 0.6789
K22 0.9213 0.5189 0.2805
K23 0.9213 0.9811 0.2805
K24 0.9972 0.7500 0.9442
Nb1 0.1696 0.7500 0.1050
Nb2 0.3304 0.2500 0.6050
Nb3 0.6696 0.7500 0.3950
Nb4 0.8304 0.2500 0.8950
Tl1 0.0511 0.7500 0.4402
Tl2 0.4489 0.2500 0.9402
Tl3 0.5511 0.7500 0.0598
Tl4 0.9489 0.2500 0.5598
As1 0.1022 0.5558 0.2124
As2 0.1022 0.9442 0.2124
As3 0.1697 0.7500 0.7893
As4 0.2051 0.2500 0.7053
As5 0.2949 0.7500 0.2053
As6 0.3303 0.2500 0.2893
As7 0.3978 0.0558 0.7124
As8 0.3978 0.4442 0.7124
As9 0.6022 0.5558 0.2876
As10 0.6022 0.9442 0.2876
As11 0.6697 0.7500 0.7107
As12 0.7051 0.2500 0.7947
As13 0.7949 0.7500 0.2947
As14 0.8303 0.2500 0.2107
As15 0.8978 0.0558 0.7876
As16 0.8978 0.4442 0.7876
```

Record 4
This entry pairs a crystal structure of K3NdAs2S8 with its computed powder diffraction line list. Radiation: Cu Kα (weighted mean of Kα1 and Kα2). Structure: the GGA-PBE geometry in the Materials Project.
Neutral-atom scattering factors, no anomalous dispersion.

Main lines, by intensity (2θ from 10° to 90°):
d (Å), 2θ/deg, I/Imax
7.645, 11.58, 100
3.374, 26.41, 31
3.097, 28.82, 28
3.157, 28.26, 27
3.987, 22.30, 22
4.625, 19.19, 18
2.274, 39.64, 17
2.549, 35.20, 17

```
data_K3NdAs2S8
_cell_length_a 11.0435
_cell_length_b 11.0435
_cell_length_c 9.1015
_cell_angle_alpha 102.90
_cell_angle_beta 102.90
_cell_angle_gamma 122.49
_space_group_name_H-M_alt 'P 1'
_space_group_IT_number 1
_space_group_name_Hall 'P 1'
loop_
_atom_site_label
_atom_site_fract_x
_atom_site_fract_y
_atom_site_fract_z
K1 0.0000 0.0000 0.0000
K2 0.0000 0.0000 0.5000
K3 0.2418 0.7582 0.7500
K4 0.4965 0.5035 0.7500
K5 0.5035 0.4965 0.2500
K6 0.7582 0.2418 0.2500
Nd1 0.2573 0.7427 0.2500
Nd2 0.7427 0.2573 0.7500
As1 0.1574 0.4058 0.8957
As2 0.4058 0.1574 0.3957
As3 0.5942 0.8426 0.6043
As4 0.8426 0.5942 0.1043
S1 0.0054 0.3612 0.6553
S2 0.0300 0.3739 0.0563
S3 0.2322 0.2606 0.8708
S4 0.2606 0.2322 0.3708
S5 0.3442 0.6325 0.4811
S6 0.3612 0.0054 0.1553
S7 0.3675 0.6558 0.0189
S8 0.3739 0.0300 0.5563
S9 0.6261 0.9700 0.4437
S10 0.6325 0.3442 0.9811
S11 0.6388 0.9946 0.8447
S12 0.6558 0.3675 0.5189
S13 0.7394 0.7678 0.6292
S14 0.7678 0.7394 0.1292
S15 0.9700 0.6261 0.9437
S16 0.9946 0.6388 0.3447
```

Record 5
This entry pairs a crystal structure of K2NiAs2 with its computed powder diffraction line list. Radiation: Cu Kα (weighted mean of Kα1 and Kα2). Structure: the GGA-PBE geometry in the Materials Project.
Neutral-atom scattering factors, no anomalous dispersion.

Main lines, by intensity (2θ from 10° to 90°):
d (Å), 2θ/deg, I/Imax
6.008, 14.75, 100
3.196, 27.92, 88
2.667, 33.61, 81
7.035, 12.58, 76
4.473, 19.85, 48
2.237, 40.33, 38
1.746, 52.40, 37
1.740, 52.59, 35

```
data_K2NiAs2
_cell_length_a 7.7795
_cell_length_b 7.7795
_cell_length_c 5.7957
_cell_angle_alpha 90.00
_cell_angle_beta 90.00
_cell_angle_gamma 129.45
_space_group_name_H-M_alt 'P 1'
_space_group_IT_number 1
_space_group_name_Hall 'P 1'
loop_
_atom_site_label
_atom_site_fract_x
_atom_site_fract_y
_atom_site_fract_z
K1 0.0891 0.9109 0.7500
K2 0.2922 0.7078 0.2500
K3 0.7078 0.2922 0.7500
K4 0.9109 0.0891 0.2500
Ni1 0.5000 0.5000 0.0000
Ni2 0.5000 0.5000 0.5000
As1 0.2145 0.4163 0.7500
As2 0.4163 0.2145 0.2500
As3 0.5837 0.7855 0.7500
As4 0.7855 0.5837 0.2500
```